# 1
For PmTlOsO6, a GGA-PBE-relaxed structure gives the calculated powder diffractogram in this record (a wavelength of 1.5418 Å).

Largest 12 diffraction maxima, most intense first, 2θ from 15° to 90°:
2theta	I (rel.)	hkl
23.97	1000	1 0 1
30.97	454	1 1 0
45.38	419	2 -1 2
51.05	257	3 -1 1
39.54	248	2 0 1
55.08	124	3 0 0
65.33	115	3 0 2
32.33	114	0 0 2
52.87	107	1 0 3
69.91	105	3 1 1
71.42	98	2 1 3
74.05	95	2 2 2

Unit cell a=5.7753 b=5.7753 c=5.5377 alpha=90.00 beta=90.00 gamma=120.00
Space group P312 (No. 149)
Symmetry-distinct sites (fractional):
Pm  0.0000  0.0000  0.0000
Tl  0.6667  0.3333  0.5000
Os  0.3333  0.6667  0.0000
O  0.0799  0.3894  0.1965

---

# 2
For MnGaGe, a GGA-PBE-relaxed structure gives the calculated powder diffractogram in this record (a wavelength of 1.5418 Å).

Largest 10 diffraction maxima, most intense first, 2θ from 15° to 90°:
2theta	I (rel.)	hkl
43.31	1000	2 2 0
79.46	310	4 2 2
30.25	276	2 0 0
26.12	205	1 1 1
62.92	156	4 0 0
71.40	97	4 2 0
51.28	86	3 1 1
53.74	75	2 2 2
69.32	32	3 3 1
85.37	23	5 1 1

Unit cell a=5.909 b=5.909 c=5.909 alpha=90.00 beta=90.00 gamma=90.00
Space group F-43m (No. 216)
Symmetry-distinct sites (fractional):
Mn  0.000  0.000  0.000
Ga  0.250  0.250  0.750
Ge  0.250  0.250  0.250

---

# 3
For MgMn2S4, a GGA-PBE-relaxed structure gives the calculated powder diffractogram in this record (a wavelength of 1.5418 Å).

Largest 12 diffraction maxima, most intense first, 2θ from 15° to 90°:
2theta	I (rel.)	hkl
34.81	1000	4 0 0
50.05	954	4 4 0
28.72	721	3 1 1
45.73	462	5 1 1
83.97	213	8 4 0
62.41	185	4 4 4
52.52	130	5 3 1
73.49	128	8 0 0
70.12	128	5 5 3
80.73	101	5 5 5
64.56	96	5 5 1
24.42	96	2 2 0

Unit cell a=10.308 b=10.308 c=10.308 alpha=90.00 beta=90.00 gamma=90.00
Space group Fd-3m (No. 227, origin choice 2)
Symmetry-distinct sites (fractional):
Mg  0.125  0.125  0.125
Mn  0.000  0.000  0.500
S  0.012  0.012  0.738

---

# 4
For Tb2Pm5Pr6, a GGA-PBE-relaxed structure gives the calculated powder diffractogram in this record (a wavelength of 1.5418 Å).

Largest 12 diffraction maxima, most intense first, 2θ from 15° to 90°:
2theta	I (rel.)	hkl
30.65	1000	1 7 0
31.32	916	2 3 1
30.36	500	4 1 0
35.71	350	3 3 1
33.35	349	2 4 1
49.63	183	0 0 2
59.29	171	4 1 2
59.48	165	1 7 2
50.57	162	1 10 1
34.13	156	3 6 0
30.99	145	3 5 0
26.49	127	1 6 0

Unit cell a=11.893 b=21.045 c=3.674 alpha=90.00 beta=90.00 gamma=90.00
Space group Pbam (No. 55)
Symmetry-distinct sites (fractional):
Tb  0.169  0.211  0.000
Pm  0.000  0.500  0.500
Pm  0.088  0.773  0.500
Pm  0.197  0.055  0.500
Pr  0.062  0.920  0.000
Pr  0.083  0.632  0.000
Pr  0.175  0.363  0.500

---

# 5
For NpH7Rh2Au, a GGA-PBE-relaxed structure gives the calculated powder diffractogram in this record (a wavelength of 1.5418 Å).

Largest 12 diffraction maxima, most intense first, 2θ from 15° to 90°:
2theta	I (rel.)	hkl
29.75	1000	1 0 3
36.36	864	1 0 5
37.68	765	1 1 2
25.89	400	1 0 1
65.19	320	2 1 5
52.10	294	2 0 0
61.15	265	2 1 3
65.55	251	1 1 10
41.56	235	0 0 8
68.74	214	2 0 8
20.43	202	0 0 4
88.87	199	3 1 2

Unit cell a=3.511 b=3.511 c=17.385 alpha=90.00 beta=90.00 gamma=90.00
Space group I-4m2 (No. 119)
Symmetry-distinct sites (fractional):
Np  0.000  0.000  0.000
H  0.000  0.000  0.285
H  0.000  0.000  0.500
H  0.000  0.500  0.097
H  0.000  0.500  0.604
Rh  0.000  0.000  0.389
Au  0.000  0.500  0.250

---

# 6
For LiZrRe4, a GGA-PBE-relaxed structure gives the calculated powder diffractogram in this record (a wavelength of 1.5418 Å).

Largest 12 diffraction maxima, most intense first, 2θ from 15° to 90°:
2theta	I (rel.)	hkl
40.27	1000	3 1 1
20.71	850	1 1 1
42.15	828	2 2 2
71.91	327	4 4 0
87.02	326	6 2 2
65.28	324	5 1 1
49.06	300	4 0 0
53.80	211	3 3 1
75.77	155	5 3 1
85.79	117	5 3 3
23.96	44	2 0 0
34.14	39	2 2 0

Unit cell a=7.427 b=7.427 c=7.427 alpha=90.00 beta=90.00 gamma=90.00
Space group F-43m (No. 216)
Symmetry-distinct sites (fractional):
Li  0.000  0.000  0.000
Zr  0.250  0.250  0.250
Re  0.126  0.126  0.626

---

# 7
For Be2ReTe, a GGA-PBE-relaxed structure gives the calculated powder diffractogram in this record (a wavelength of 1.5418 Å).

Largest 12 diffraction maxima, most intense first, 2θ from 15° to 90°:
2theta	I (rel.)	hkl
27.81	1000	1 0 0
43.82	677	1 0 2
39.74	456	1 1 0
52.70	355	1 1 2
33.17	326	0 0 2
74.96	278	2 1 2
65.01	184	2 1 0
67.97	165	2 0 2
57.45	155	2 0 0
76.54	125	1 0 4
83.27	101	1 1 4
16.41	81	0 0 1

Unit cell a=3.208 b=3.208 c=5.402 alpha=90.00 beta=90.00 gamma=90.00
Space group P4/mmm (No. 123)
Symmetry-distinct sites (fractional):
Be  0.000  0.000  0.188
Re  0.500  0.500  0.000
Te  0.500  0.500  0.500

---

# 8
For Mg8B5IN10, a GGA-PBE-relaxed structure gives the calculated powder diffractogram in this record (a wavelength of 1.5418 Å).

Largest 12 diffraction maxima, most intense first, 2θ from 15° to 90°:
2theta	I (rel.)	hkl
26.88	1000	1 3 2
24.53	505	0 1 3
37.16	376	2 0 4
32.44	376	3 2 1
19.46	364	1 1 2
22.98	358	2 2 0
28.90	282	1 4 1
21.51	254	2 1 1
33.39	240	3 1 2
29.62	208	3 0 1
45.32	184	2 5 3
26.07	179	0 4 0

Unit cell a=9.388 b=13.672 c=11.292 alpha=90.00 beta=90.00 gamma=90.00
Space group Imma (No. 74)
Symmetry-distinct sites (fractional):
Mg  0.204  0.250  0.025
Mg  0.249  0.000  0.000
Mg  0.250  0.066  0.250
Mg  0.250  0.145  0.750
B  0.000  0.044  0.648
B  0.000  0.114  0.099
B  0.000  0.250  0.847
I  0.000  0.250  0.402
N  0.143  0.043  0.650
N  0.143  0.115  0.097
N  0.143  0.250  0.849

---

# 9
For SrCaSn3, a GGA-PBE-relaxed structure gives the calculated powder diffractogram in this record (a wavelength of 1.5418 Å).

Largest 12 diffraction maxima, most intense first, 2θ from 15° to 90°:
2theta	I (rel.)	hkl
29.34	1000	2 2 0
31.74	652	4 1 1
37.59	606	0 2 2
37.01	396	4 2 0
50.00	370	4 3 1
18.54	336	0 1 1
43.26	258	6 1 1
62.84	230	2 4 2
58.62	213	6 3 1
54.22	212	0 4 0
73.40	176	10 2 0
26.34	173	0 2 0

Unit cell a=13.953 b=6.768 c=6.767 alpha=90.00 beta=90.00 gamma=90.00
Space group Pnna (No. 52)
Symmetry-distinct sites (fractional):
Sr  0.250  0.000  0.000
Ca  0.000  0.250  0.250
Sn  0.000  0.250  0.750
Sn  0.149  0.000  0.500

---

# 10
For LaCoN3, a GGA-PBE-relaxed structure gives the calculated powder diffractogram in this record (a wavelength of 1.5418 Å).

Largest 12 diffraction maxima, most intense first, 2θ from 15° to 90°:
2theta	I (rel.)	hkl
24.91	1000	1 0 -1
26.20	734	1 -1 1
33.00	635	1 -2 0
34.06	601	0 2 -1
27.52	560	1 0 1
25.24	538	0 0 2
33.22	438	1 1 0
19.26	438	0 1 -1
43.42	429	2 -1 0
22.38	422	0 1 1
37.84	400	0 2 1
26.10	399	-1 1 1

Unit cell a=4.177 b=5.782 c=7.155 alpha=96.88 beta=93.70 gamma=110.99
Space group P1 (No. 1)
Symmetry-distinct sites (fractional):
La  0.000  0.000  0.000
La  0.304  0.689  0.598
Co  0.557  0.276  0.647
Co  0.699  0.416  0.957
N  0.319  0.257  0.416
N  0.388  0.070  0.392
N  0.523  0.072  0.840
N  0.752  0.563  0.179
N  0.765  0.686  0.327
N  0.782  0.616  0.769

---

# 11
For TaCdIn2, a GGA-PBE-relaxed structure gives the calculated powder diffractogram in this record (a wavelength of 1.5418 Å).

Largest 12 diffraction maxima, most intense first, 2θ from 15° to 90°:
2theta	I (rel.)	hkl
36.80	1000	2 2 0
37.80	929	0 2 1
33.46	648	2 0 -1
35.87	537	0 4 0
49.86	414	2 4 -1
61.33	219	4 2 -1
63.37	202	2 2 -2
65.07	186	2 6 0
65.73	177	0 6 1
69.67	152	2 4 1
57.51	134	2 0 1
78.30	108	4 4 0

Unit cell a=6.350 b=10.015 c=3.070 alpha=90.00 beta=118.23 gamma=90.00
Space group C2/m (No. 12)
Symmetry-distinct sites (fractional):
Ta  0.000  0.000  0.000
Cd  0.000  0.500  0.000
In  0.250  0.250  0.500

---

# 12
For Nd2MgSb, a GGA-PBE-relaxed structure gives the calculated powder diffractogram in this record (a wavelength of 1.5418 Å).

Largest 12 diffraction maxima, most intense first, 2θ from 15° to 90°:
2theta	I (rel.)	hkl
29.51	1000	1 1 -2
32.61	451	1 2 0
42.64	358	2 0 -1
29.84	322	1 1 1
33.61	322	0 2 2
47.80	254	0 1 -4
42.73	242	1 3 0
25.96	234	0 1 2
35.63	233	1 0 2
27.09	226	1 0 -2
32.82	218	0 2 -2
23.91	194	0 2 0

Unit cell a=4.242 b=7.445 c=8.112 alpha=91.28 beta=105.13 gamma=90.01
Space group P-1 (No. 2)
Symmetry-distinct sites (fractional):
Nd  0.040  0.219  0.079
Nd  0.239  0.754  0.480
Mg  0.404  0.459  0.807
Sb  0.385  0.066  0.769